No. 1
The following is a theoretical powder diffractogram of K3CeP2O8. It was derived from a structure optimized by DFT (PBE), using a wavelength of 1.5418 Å.
Neutral-atom scattering factors, no anomalous dispersion.

Atomic structure:
a b c (Å): 7.5577 5.7066 9.6864
angles (deg): 90.00 90.86 90.00
Space group P2_1/m (No. 11)
Symmetry-distinct sites (fractional):
1 K 0.0080 0.2500 0.1914 [2 per cell]
2 K 0.1394 0.7500 0.4057 [2 per cell]
3 K 0.2962 0.2500 0.9166 [2 per cell]
4 Ce 0.4914 0.7500 0.7088 [2 per cell]
5 P 0.2640 0.7500 0.0857 [2 per cell]
6 P 0.3002 0.2500 0.5739 [2 per cell]
7 O 0.0617 0.7500 0.1000 [2 per cell]
8 O 0.2155 0.2500 0.4258 [2 per cell]
9 O 0.2420 0.0266 0.6543 [4 per cell]
10 O 0.3192 0.7500 0.9308 [2 per cell]
11 O 0.3434 0.5267 0.1578 [4 per cell]
12 O 0.4956 0.7500 0.4434 [2 per cell]

Peak list (10 most intense, 2θ = 10–90°, in order of falling intensity)
2θ/deg, I/Imax, index
11.71, 100, 1 0 0
29.93, 95, 2 1 1
29.74, 93, 2 0 -2
31.85, 93, 0 1 3
21.64, 89, 1 1 1
31.35, 77, 0 2 0
44.11, 43, 2 2 2
18.04, 40, 0 1 1
43.78, 27, 2 2 -2
48.74, 26, 1 0 5

=====

No. 2
The following is a theoretical powder diffractogram of Na3Si2Sn2PO12. It was derived from a structure optimized by DFT (PBE), using a wavelength of 1.5418 Å.
Neutral-atom scattering factors, no anomalous dispersion.

Atomic structure:
a b c (Å): 15.6466 9.0676 9.1043
angles (deg): 90.00 125.23 90.00
Space group Cc (No. 9)
Symmetry-distinct sites (fractional):
1 Na 0.0000 0.0660 0.0000 [4 per cell]
2 Na 0.1940 0.3922 0.5361 [4 per cell]
3 Na 0.4367 0.2285 0.7821 [4 per cell]
4 Si 0.0452 0.3957 0.0403 [4 per cell]
5 Si 0.3405 0.3949 0.0312 [4 per cell]
6 Sn 0.0886 0.2547 0.7225 [4 per cell]
7 Sn 0.2951 0.2498 0.3451 [4 per cell]
8 P 0.1939 0.0414 0.5347 [4 per cell]
9 O 0.0435 0.4232 0.5402 [4 per cell]
10 O 0.0517 0.3548 0.8731 [4 per cell]
11 O 0.1135 0.1386 0.5408 [4 per cell]
12 O 0.1244 0.0504 0.8602 [4 per cell]
13 O 0.1466 0.3249 0.2280 [4 per cell]
14 O 0.2384 0.3269 0.8454 [4 per cell]
15 O 0.2573 0.0545 0.2039 [4 per cell]
16 O 0.2711 0.1448 0.5314 [4 per cell]
17 O 0.3406 0.3638 0.2087 [4 per cell]
18 O 0.3440 0.4223 0.5293 [4 per cell]
19 O 0.4440 0.3383 0.0425 [4 per cell]
20 O 0.4458 0.1802 0.5257 [4 per cell]

Peak list (10 most intense, 2θ = 10–90°, in order of falling intensity)
2θ/deg, I/Imax, index
19.55, 100, 1 1 1
34.29, 54, 3 3 -1
19.64, 50, 3 1 -1
31.09, 49, 0 2 2
27.77, 29, 2 2 -2
31.21, 25, 3 1 1
46.96, 24, 0 4 2
53.53, 20, 3 5 -1
34.39, 17, 6 0 -2
13.83, 16, 2 0 0

=====

No. 3
The following is a theoretical powder diffractogram of Nd2TeS2. It was derived from a structure optimized by DFT (PBE), using a wavelength of 1.5418 Å.
Neutral-atom scattering factors, no anomalous dispersion.

Atomic structure:
a b c (Å): 4.6587 4.6587 7.7732
angles (deg): 90.00 90.00 120.00
Space group P-3m1 (No. 164)
Symmetry-distinct sites (fractional):
1 Nd 0.3333 0.6667 0.2679 [2 per cell]
2 Te 0.0000 0.0000 0.0000 [1 per cell]
3 S 0.3333 0.6667 0.6360 [2 per cell]

Peak list (10 most intense, 2θ = 10–90°, in order of falling intensity)
2θ/deg, I/Imax, index
24.86, 100, 0 1 1
31.97, 56, 0 1 2
38.65, 53, 1 1 0
41.42, 28, 1 0 3
46.51, 19, 2 0 1
62.02, 16, 1 2 1
51.01, 15, 0 2 2
65.79, 14, 2 1 2
52.85, 14, 1 1 3
62.21, 12, 1 1 4